# 1
# NdBiO3
Calculated powder XRD pattern, Cu Ka. Input: a crystal structure in the Materials Project, relaxed with PBE.
Intensities are scaled so that the largest is 100.

Main lines, in order of rising 2θ (2θ = 15–90°):
2θ/deg, Rel. int., (hkl)
20.02, 6, 1 0 0
28.46, 100, 1 1 0
40.68, 28, 2 0 0
45.74, 3, 2 1 0
50.39, 43, 2 1 1
58.89, 18, 2 2 0
66.68, 19, 3 1 0
74.04, 6, 2 2 2
81.13, 23, 3 2 1
88.09, 3, 4 0 0

Cell and atoms:
```
data_NdBiO3
_chemical_formula_sum 'Nd1 Bi1 O3'
_symmetry_space_group_name_H-M 'P m -3 m'
_symmetry_Int_Tables_number 221
_symmetry_space_group_name_Hall '-P 4 2 3'
_cell_length_a 4.4357
_cell_length_b 4.4357
_cell_length_c 4.4357
_cell_angle_alpha 90.00
_cell_angle_beta 90.00
_cell_angle_gamma 90.00
loop_
_atom_site_label
_atom_site_type_symbol
_atom_site_fract_x
_atom_site_fract_y
_atom_site_fract_z
Nd1 Nd 0.0000 0.0000 0.0000
Bi1 Bi 0.5000 0.5000 0.5000
O1 O 0.0000 0.5000 0.5000
```

# 2
# KAlAs2O7
Calculated powder XRD pattern, Cu Ka. Input: a crystal structure in the Materials Project, relaxed with PBE.
Intensities are scaled so that the largest is 100.

Main lines, in order of rising 2θ (2θ = 15–90°):
2θ/deg, Rel. int., (hkl)
20.33, 46, -1 1 1
21.20, 32, 1 0 1
22.10, 59, 1 -1 1
22.45, 40, 0 0 2
27.30, 71, 1 1 -2
28.99, 64, 0 1 2
29.15, 100, 2 0 -1
29.24, 20, 0 2 -1
36.31, 22, 1 2 0
37.05, 20, 2 1 0

Cell and atoms:
```
data_KAlAs2O7
_chemical_formula_sum 'K2 Al2 As4 O14'
_symmetry_space_group_name_H-M 'P -1'
_symmetry_Int_Tables_number 2
_cell_length_a 6.3058
_cell_length_b 6.3904
_cell_length_c 8.3250
_cell_angle_alpha 96.80
_cell_angle_beta 104.58
_cell_angle_gamma 102.49
loop_
_symmetry_equiv_pos_as_xyz
'x,y,z'
'-x,-y,-z'
loop_
_atom_site_label
_atom_site_type_symbol
_atom_site_fract_x
_atom_site_fract_y
_atom_site_fract_z
K1 K 0.0000 0.0000 0.0000
K2 K 0.0000 0.0000 0.5000
Al1 Al 0.3747 0.6888 0.2278
As1 As 0.1755 0.4704 0.8119
As2 As 0.4876 0.2437 0.3359
O1 O 0.0937 0.6874 0.2774
O2 O 0.2175 0.6494 0.9902
O3 O 0.2222 0.6371 0.6552
O4 O 0.3199 0.3812 0.2198
O5 O 0.3376 0.2886 0.8160
O6 O 0.4138 0.9897 0.2206
O7 O 0.4588 0.2479 0.5333
```